# 1
This entry pairs a crystal structure of AcGa2Rh6 with its simulated X-ray powder pattern. Radiation: CuKα. Structure: the PBE geometry in Alexandria.
Intensities are scaled so that the largest is 100.

The 10 most intense peaks (2θ = 5–70°), low angle first:
2theta	I (rel.)	hkl
13.7	11.1	1 1 1
26.3	45.1	3 1 1
27.5	5.8	2 2 2
31.9	68.4	4 0 0
41.8	20.3	5 1 1
45.7	100.0	4 4 0
53.5	6.5	5 3 3
56.8	17.4	4 4 4
63.7	10.8	5 5 3
66.7	15.9	8 0 0

Cell and atoms:
a b c (Å): 11.2243 11.2243 11.2243
angles (deg): 90.00 90.00 90.00
Space group Fd-3m (No. 227, origin choice 2)
Inequivalent atoms, fractional coordinates:
Ac 0.1250 0.1250 0.1250
Ga 0.0000 0.0000 0.5000
Rh 0.1211 0.3750 0.3750

=====

# 2
This entry pairs a crystal structure of AcGa12Rh4 with its simulated X-ray powder pattern. Radiation: CuKα. Structure: the PBE geometry in Alexandria.
Intensities are scaled so that the largest is 100.

The 10 most intense peaks (2θ = 5–70°), low angle first:
2theta	I (rel.)	hkl
14.2	14.1	1 1 0
24.6	13.7	2 1 1
28.5	39.0	2 2 0
32.0	100.0	3 0 1
38.0	63.1	3 1 2
40.8	12.0	4 0 0
45.9	19.9	4 0 2
50.5	58.8	4 2 2
52.7	35.7	4 3 1
66.9	15.9	6 2 0

Cell and atoms:
a b c (Å): 8.8501 8.8501 8.8501
angles (deg): 90.00 90.00 90.00
Space group Im-3 (No. 204)
Inequivalent atoms, fractional coordinates:
Ac 0.0000 0.0000 0.0000
Ga 0.0000 0.3444 0.1645
Rh 0.2500 0.2500 0.2500

=====

# 3
This entry pairs a crystal structure of Ac5GaRu with its simulated X-ray powder pattern. Radiation: CuKα. Structure: the PBE geometry in Alexandria.
Intensities are scaled so that the largest is 100.

The 10 most intense peaks (2θ = 5–70°), low angle first:
2theta	I (rel.)	hkl
23.4	28.5	1 1 2
25.6	51.1	1 1 -3
26.9	100.0	2 2 -1
27.4	27.9	2 2 0
28.4	50.1	4 0 -2
29.0	70.8	3 1 1
30.6	23.8	1 1 3
30.7	47.9	2 0 -4
39.6	23.4	5 1 0
40.4	34.2	1 3 2

Cell and atoms:
a b c (Å): 12.8106 7.7903 11.6872
angles (deg): 90.00 111.79 90.00
Space group C2/c (No. 15)
Inequivalent atoms, fractional coordinates:
Ac 0.0000 0.0606 0.2500
Ac 0.1064 0.3298 0.0172
Ac 0.2131 0.1633 0.6363
Ga 0.0000 0.4772 0.2500
Ru 0.0000 0.0000 0.0000

=====

# 4
This entry pairs a crystal structure of Ac3GaRu3 with its simulated X-ray powder pattern. Radiation: CuKα. Structure: the PBE geometry in Alexandria.
Intensities are scaled so that the largest is 100.

The 10 most intense peaks (2θ = 5–70°), low angle first:
2theta	I (rel.)	hkl
25.7	35.9	1 1 2
29.4	58.9	1 1 3
29.5	48.8	0 2 4
31.6	85.4	1 3 0
33.8	74.3	1 1 4
36.6	35.3	0 4 3
36.9	100.0	1 3 3
37.9	32.5	0 0 6
42.9	45.5	2 0 0
60.6	25.3	1 7 0

Cell and atoms:
a b c (Å): 4.2162 11.4833 14.2534
angles (deg): 90.00 90.00 90.00
Space group Cmcm (No. 63)
Inequivalent atoms, fractional coordinates:
Ac 0.0000 0.0185 0.2500
Ac 0.0000 0.2952 0.1062
Ga 0.0000 0.0000 0.0000
Ru 0.0000 0.2830 0.7500
Ru 0.0000 0.4178 0.5863

=====

# 5
This entry pairs a crystal structure of Ac12Ga6Ru with its simulated X-ray powder pattern. Radiation: CuKα. Structure: the PBE geometry in Alexandria.
Intensities are scaled so that the largest is 100.

The 10 most intense peaks (2θ = 5–70°), low angle first:
2theta	I (rel.)	hkl
20.0	18.0	2 0 2
22.2	18.4	3 0 0
23.8	100.0	3 -2 2
28.2	40.2	1 0 4
30.1	64.4	3 1 2
33.7	64.9	2 1 4
34.2	62.6	1 4 0
47.3	27.6	0 3 6
48.7	23.9	6 -4 4
49.2	21.5	4 -2 6

Cell and atoms:
a b c (Å): 13.8819 13.8819 13.1386
angles (deg): 90.00 90.00 120.00
Space group R-3 (No. 148, hexagonal axes)
Inequivalent atoms, fractional coordinates:
Ac 0.0335 0.2101 0.3951
Ac 0.0539 0.1981 0.8816
Ga 0.0527 0.2779 0.6426
Ru 0.0000 0.0000 0.0000

=====

# 6
This entry pairs a crystal structure of Ac4GaRu2 with its simulated X-ray powder pattern. Radiation: CuKα. Structure: the PBE geometry in Alexandria.
Intensities are scaled so that the largest is 100.

The 10 most intense peaks (2θ = 5–70°), low angle first:
2theta	I (rel.)	hkl
25.3	81.5	0 1 5
29.5	54.8	1 0 7
35.2	100.0	1 1 0
36.9	51.8	1 0 10
43.8	19.7	2 0 5
51.9	32.0	0 2 10
57.4	18.2	1 2 5
57.6	18.8	0 1 17
63.1	18.7	3 0 0
64.2	19.5	2 1 10

Cell and atoms:
a b c (Å): 5.1054 5.1054 29.1609
angles (deg): 90.00 90.00 120.00
Space group R-3m (No. 166, hexagonal axes)
Inequivalent atoms, fractional coordinates:
Ac 0.0000 0.0000 0.1172
Ac 0.0000 0.0000 0.2940
Ga 0.0000 0.0000 0.5000
Ru 0.0000 0.0000 0.4123